[1]
# ScNb2ZnN
Theoretical XRD peak list, Cu Kα, 1.54184 Å. Input: the PBE geometry in Alexandria.
Kinematic intensities with the Lorentz-polarization factor, no thermal factor.

Largest 10 diffraction maxima, in order of falling intensity, 2θ = 15–90°:
2theta  Rel. int.
36.22  100
42.71  37
60.52  25
73.96  23
40.77  21
71.25  13
76.89  12
61.99  11
20.06  11
47.62  4

Crystal structure
Cell lengths 4.2340, 4.2340, 4.4263 Å; angles 90.00, 90.00, 90.00 degrees
Atoms (fractional coordinates):
Sc 0.0000 0.0000 0.0000
Nb 0.0000 0.5000 0.5000
Nb 0.5000 0.0000 0.5000
Zn 0.5000 0.5000 0.0000
N 0.0000 0.0000 0.5000

[2]
# Pr2Cu7
Theoretical XRD peak list, Cu Kα, 1.54184 Å. Input: the PBE geometry in Alexandria.
Kinematic intensities with the Lorentz-polarization factor, no thermal factor.

Largest 10 diffraction maxima, in order of falling intensity, 2θ = 15–90°:
2theta  Rel. int.
40.60  100
34.20  43
30.84  35
39.78  34
32.75  27
65.59  23
43.23  23
72.05  21
44.29  13
87.89  12

Crystal structure
Cell lengths 12.9195, 12.9195, 12.9195 Å; angles 23.41, 23.41, 23.41 degrees
Atoms (fractional coordinates):
Pr 0.0507 0.0507 0.0507
Pr 0.1484 0.1484 0.1484
Pr 0.8516 0.8516 0.8516
Pr 0.9493 0.9493 0.9493
Cu 0.0000 0.5000 0.5000
Cu 0.1099 0.6070 0.6070
Cu 0.2788 0.2788 0.2788
Cu 0.3871 0.3871 0.3871
Cu 0.3930 0.3930 0.8901
Cu 0.3930 0.8901 0.3930
Cu 0.5000 0.0000 0.5000
Cu 0.5000 0.5000 0.0000
Cu 0.5000 0.5000 0.5000
Cu 0.6070 0.1099 0.6070
Cu 0.6070 0.6070 0.1099
Cu 0.6129 0.6129 0.6129
Cu 0.7212 0.7212 0.7212
Cu 0.8901 0.3930 0.3930

[3]
# Pm7Nd3Ho
Theoretical XRD peak list, Cu Kα, 1.54184 Å. Input: the PBE geometry in Alexandria.
Kinematic intensities with the Lorentz-polarization factor, no thermal factor.

Largest 10 diffraction maxima, in order of falling intensity, 2θ = 15–90°:
2theta  Rel. int.
32.03  100
29.94  41
43.93  26
54.48  22
24.70  19
31.45  18
31.33  15
27.83  13
39.18  11
61.29  10

Crystal structure
Cell lengths 8.5960, 8.5960, 8.5960 Å; angles 139.36, 97.11, 96.74 degrees
Atoms (fractional coordinates):
Pm 0.0000 0.0000 0.0000
Pm 0.0973 0.3020 0.7953
Pm 0.2911 0.7911 0.5000
Pm 0.4932 0.6980 0.7953
Pm 0.5068 0.3020 0.2047
Pm 0.7089 0.2089 0.5000
Pm 0.9027 0.6980 0.2047
Nd 0.2902 0.0000 0.2902
Nd 0.5000 0.5000 0.0000
Nd 0.7098 0.0000 0.7098
Ho 0.0000 0.5000 0.5000

[4]
# Re3Tc4
Theoretical XRD peak list, Cu Kα, 1.54184 Å. Input: the PBE geometry in Alexandria.
Kinematic intensities with the Lorentz-polarization factor, no thermal factor.

Largest 10 diffraction maxima, in order of falling intensity, 2θ = 15–90°:
2theta  Rel. int.
40.08  100
46.66  32
68.03  26
81.96  25
46.55  16
82.17  12
23.26  7
86.42  6
86.66  6
68.25  5

Crystal structure
Cell lengths 2.7483, 3.9019, 19.3037 Å; angles 90.00, 90.00, 90.00 degrees
Atoms (fractional coordinates):
Re 0.0000 0.0000 0.0000
Re 0.0000 0.0000 0.1430
Re 0.0000 0.0000 0.8570
Re 0.5000 0.5000 0.3570
Re 0.5000 0.5000 0.5000
Re 0.5000 0.5000 0.6430
Tc 0.0000 0.0000 0.2856
Tc 0.0000 0.0000 0.4285
Tc 0.0000 0.0000 0.5715
Tc 0.0000 0.0000 0.7144
Tc 0.5000 0.5000 0.0715
Tc 0.5000 0.5000 0.2144
Tc 0.5000 0.5000 0.7856
Tc 0.5000 0.5000 0.9285

[5]
# Nd10Y4Er
Theoretical XRD peak list, Cu Kα, 1.54184 Å. Input: the PBE geometry in Alexandria.
Kinematic intensities with the Lorentz-polarization factor, no thermal factor.

Largest 10 diffraction maxima, in order of falling intensity, 2θ = 15–90°:
2theta  Rel. int.
32.25  100
57.51  38
22.65  26
46.26  18
19.59  17
67.49  12
52.10  11
76.75  11
38.02  9
39.78  8

Crystal structure
Cell lengths 9.6175, 9.6175, 9.6175 Å; angles 99.57, 99.57, 131.88 degrees
Atoms (fractional coordinates):
Nd 0.0498 0.3478 0.9001
Nd 0.1497 0.0498 0.7020
Nd 0.2500 0.7500 0.5000
Nd 0.3478 0.4477 0.2980
Nd 0.4477 0.1497 0.0999
Nd 0.5523 0.8503 0.9001
Nd 0.6522 0.5523 0.7020
Nd 0.7500 0.2500 0.5000
Nd 0.8503 0.9502 0.2980
Nd 0.9502 0.6522 0.0999
Y 0.2005 0.3996 0.6000
Y 0.3996 0.7995 0.1991
Y 0.6004 0.2005 0.8009
Y 0.7995 0.6004 0.4000
Er 0.0000 0.0000 0.0000